# K2TbCl5
Calculated X-ray powder pattern, a wavelength of 1.5418 Å. Input: a structure optimized by DFT (PBE).
Intensities are scaled so that the largest is 100.

Cell and atoms:
```
K2TbCl5
1.0
12.960 0.000 0.000
0.000 8.617 0.000
0.000 0.000 8.069
K Tb Cl
8 4 20
direct
0.172 0.005 0.051
0.172 0.495 0.051
0.328 0.505 0.551
0.328 0.995 0.551
0.672 0.005 0.449
0.672 0.495 0.449
0.828 0.505 0.949
0.828 0.995 0.949
0.004 0.250 0.574
0.496 0.750 0.074
0.504 0.250 0.926
0.996 0.750 0.426
0.010 0.250 0.913
0.074 0.542 0.660
0.074 0.958 0.660
0.174 0.250 0.380
0.198 0.750 0.341
0.302 0.250 0.841
0.326 0.750 0.880
0.426 0.042 0.160
0.426 0.458 0.160
0.490 0.750 0.413
0.510 0.250 0.587
0.574 0.542 0.840
0.574 0.958 0.840
0.674 0.250 0.120
0.698 0.750 0.159
0.802 0.250 0.659
0.826 0.750 0.620
0.926 0.042 0.340
0.926 0.458 0.340
0.990 0.750 0.087
```

Main lines, low angle first (2θ from 10° to 80°):
12.92°, d 6.850, intensity 100; 13.67°, d 6.480, intensity 55; 23.36°, d 3.809, intensity 37; 24.41°, d 3.647, intensity 53; 33.42°, d 2.681, intensity 39; 37.69°, d 2.387, intensity 38


# Sm2PbSe4
Calculated X-ray powder pattern, a wavelength of 1.5418 Å. Input: a structure optimized by DFT (PBE).
Intensities are scaled so that the largest is 100.

Cell and atoms:
```
Sm2PbSe4
1.0
-4.506 4.506 4.498
4.506 -4.506 4.498
4.506 4.506 -4.498
Sm Pb Se
4 2 8
direct
0.005 0.625 0.880
0.375 0.255 0.380
0.745 0.125 0.120
0.875 0.995 0.620
0.250 0.750 0.500
0.500 0.500 0.000
0.112 0.365 0.598
0.115 0.362 0.098
0.264 0.017 0.902
0.486 0.888 0.253
0.635 0.233 0.747
0.638 0.736 0.753
0.767 0.514 0.402
0.983 0.885 0.247
```

Main lines, low angle first (2θ from 10° to 80°):
24.20°, d 3.677, intensity 39; 31.41°, d 2.848, intensity 100; 37.36°, d 2.407, intensity 64; 45.02°, d 2.014, intensity 27; 51.75°, d 1.766, intensity 21; 63.68°, d 1.461, intensity 27


# Li2AgF5
Calculated X-ray powder pattern, a wavelength of 1.5418 Å. Input: a structure optimized by DFT (PBE).
Intensities are scaled so that the largest is 100.

Cell and atoms:
```
Li2AgF5
1.0
5.140 -2.646 0.000
5.140 2.646 0.000
-3.155 0.000 7.378
Li Ag F
4 2 10
direct
0.122 0.144 0.237
0.144 0.122 0.737
0.856 0.878 0.263
0.878 0.856 0.763
0.500 0.500 0.000
0.500 0.500 0.500
0.099 0.721 0.542
0.154 0.477 0.843
0.226 0.774 0.250
0.279 0.901 0.958
0.477 0.154 0.343
0.523 0.846 0.657
0.721 0.099 0.042
0.774 0.226 0.750
0.846 0.523 0.157
0.901 0.279 0.458
```

Main lines, low angle first (2θ from 10° to 80°):
18.78°, d 4.726, intensity 82; 19.22°, d 4.617, intensity 100; 24.09°, d 3.694, intensity 83; 27.91°, d 3.197, intensity 70; 33.84°, d 2.649, intensity 58; 50.44°, d 1.809, intensity 35


# Sc2S3
Calculated X-ray powder pattern, a wavelength of 1.5418 Å. Input: a structure optimized by DFT (PBE).
Intensities are scaled so that the largest is 100.

Cell and atoms:
```
Sc2S3
1.0
3.204 -5.548 0.000
3.204 5.548 0.000
-2.125 0.000 6.015
Sc S
4 6
direct
0.000 0.000 0.000
0.166 0.834 0.500
0.500 0.500 0.500
0.834 0.166 0.500
0.085 0.408 0.257
0.239 0.239 0.746
0.408 0.085 0.257
0.592 0.915 0.743
0.761 0.761 0.254
0.915 0.592 0.743
```

Main lines, low angle first (2θ from 10° to 80°):
14.73°, d 6.015, intensity 20; 34.33°, d 2.612, intensity 100; 49.27°, d 1.850, intensity 32; 49.42°, d 1.844, intensity 32; 61.45°, d 1.509, intensity 10; 72.36°, d 1.306, intensity 9


# BaThO3
Calculated X-ray powder pattern, a wavelength of 1.5418 Å. Input: a structure optimized by DFT (PBE).
Intensities are scaled so that the largest is 100.

Cell and atoms:
```
BaThO3
1.0
6.451 0.000 0.000
0.000 9.053 0.000
0.000 0.000 6.388
Ba Th O
4 4 12
direct
0.032 0.250 0.011
0.468 0.750 0.511
0.532 0.250 0.489
0.968 0.750 0.989
0.000 0.000 0.500
0.000 0.500 0.500
0.500 0.000 0.000
0.500 0.500 0.000
0.030 0.750 0.409
0.215 0.550 0.785
0.215 0.950 0.785
0.285 0.050 0.285
0.285 0.450 0.285
0.470 0.250 0.909
0.530 0.750 0.091
0.715 0.550 0.715
0.715 0.950 0.715
0.785 0.050 0.215
0.785 0.450 0.215
0.970 0.250 0.591
```

Main lines, low angle first (2θ from 10° to 80°):
19.57°, d 4.535, intensity 13; 27.66°, d 3.226, intensity 20; 27.85°, d 3.203, intensity 100; 39.71°, d 2.270, intensity 20; 49.02°, d 1.858, intensity 16; 49.36°, d 1.846, intensity 28